Simulated powder X-ray diffraction pattern
Compound: Ba5Tl2Br
Radiation: Cu Kα
Structure: a crystal structure in Alexandria, relaxed with GGA-PBE

Top 10 peaks for 2θ = 10–90°, in order of rising 2θ:
2θ 24.15, intensity 50
2θ 24.62, intensity 37
2θ 26.05, intensity 34
2θ 26.44, intensity 60
2θ 27.44, intensity 62
2θ 28.32, intensity 100
2θ 30.29, intensity 36
2θ 30.87, intensity 32
2θ 36.17, intensity 34
2θ 39.35, intensity 33

Atomic structure:
a = 15.3981 Å, b = 9.1598 Å, c = 10.5241 Å
α = 90.00°, β = 90.00°, γ = 90.00°
Atoms (fractional coordinates):
Ba1 0.0026 0.2500 0.0005
Ba2 0.1009 0.0004 0.6868
Ba3 0.1009 0.4996 0.6868
Ba4 0.1865 0.2500 0.3198
Ba5 0.1864 0.7500 0.3230
Ba6 0.3136 0.2500 0.8230
Ba7 0.3135 0.7500 0.8198
Ba8 0.3991 0.9996 0.1868
Ba9 0.3991 0.5004 0.1868
Ba10 0.4974 0.7500 0.5005
Ba11 0.5026 0.2500 0.4995
Ba12 0.6009 0.0004 0.8132
Ba13 0.6009 0.4996 0.8132
Ba14 0.6865 0.2500 0.1802
Ba15 0.6864 0.7500 0.1770
Ba16 0.8136 0.2500 0.6770
Ba17 0.8135 0.7500 0.6802
Ba18 0.8991 0.9996 0.3132
Ba19 0.8991 0.5004 0.3132
Ba20 0.9974 0.7500 0.9995
Tl1 0.1865 0.5066 0.0335
Tl2 0.1865 0.9934 0.0335
Tl3 0.3135 0.0066 0.5335
Tl4 0.3135 0.4934 0.5335
Tl5 0.6865 0.5066 0.4665
Tl6 0.6865 0.9934 0.4665
Tl7 0.8135 0.0066 0.9665
Tl8 0.8135 0.4934 0.9665
Br1 0.0005 0.2500 0.4990
Br2 0.9995 0.7500 0.5010
Br3 0.5005 0.2500 0.0010
Br4 0.4995 0.7500 0.9990

Simulated powder X-ray diffraction pattern
Compound: Tb2SmSc3
Radiation: Cu Kα
Structure: a crystal structure in Alexandria, relaxed with GGA-PBE

Top 10 peaks for 2θ = 10–90°, in order of rising 2θ:
2θ 16.11, intensity 92
2θ 30.77, intensity 70
2θ 31.25, intensity 100
2θ 32.53, intensity 76
2θ 33.28, intensity 49
2θ 35.06, intensity 40
2θ 38.27, intensity 59
2θ 39.46, intensity 35
2θ 53.06, intensity 43
2θ 63.64, intensity 51

Atomic structure:
a = 5.9788 Å, b = 3.4522 Å, c = 16.6303 Å
α = 90.00°, β = 96.91°, γ = 90.00°
Atoms (fractional coordinates):
Tb1 0.0269 0.2500 0.3329
Tb2 0.2498 0.2500 0.0001
Tb3 0.7502 0.7500 0.9999
Tb4 0.9731 0.7500 0.6671
Sm1 0.4722 0.2500 0.6674
Sm2 0.5278 0.7500 0.3326
Sc1 0.1378 0.7500 0.1659
Sc2 0.2487 0.7500 0.4996
Sc3 0.3614 0.7500 0.8346
Sc4 0.6386 0.2500 0.1654
Sc5 0.7513 0.2500 0.5004
Sc6 0.8622 0.2500 0.8341

Simulated powder X-ray diffraction pattern
Compound: Ac6Te3Pt2Cl
Radiation: Cu Kα
Structure: a crystal structure in Alexandria, relaxed with GGA-PBE

Top 10 peaks for 2θ = 10–90°, in order of rising 2θ:
2θ 23.94, intensity 12
2θ 27.21, intensity 100
2θ 27.32, intensity 50
2θ 37.78, intensity 19
2θ 37.95, intensity 37
2θ 39.92, intensity 55
2θ 48.92, intensity 10
2θ 49.06, intensity 21
2θ 56.14, intensity 11
2θ 64.95, intensity 15

Atomic structure:
a = 7.8219 Å, b = 7.8219 Å, c = 8.3699 Å
α = 98.80°, β = 98.80°, γ = 119.99°
Atoms (fractional coordinates):
Ac1 0.0678 0.4246 0.7788
Ac2 0.2166 0.2166 0.2172
Ac3 0.4246 0.0678 0.7788
Ac4 0.5754 0.9322 0.2212
Ac5 0.7834 0.7834 0.7828
Ac6 0.9322 0.5754 0.2212
Te1 0.0000 0.0000 0.5000
Te2 0.3423 0.6577 0.5000
Te3 0.6577 0.3423 0.5000
Pt1 0.1683 0.8317 0.0000
Pt2 0.8317 0.1683 0.0000
Cl1 0.5000 0.5000 0.0000

Simulated powder X-ray diffraction pattern
Compound: PmY3Tm5
Radiation: Cu Kα
Structure: a crystal structure in Alexandria, relaxed with GGA-PBE

Top 10 peaks for 2θ = 10–90°, in order of rising 2θ:
2θ 16.21, intensity 35
2θ 28.27, intensity 55
2θ 30.27, intensity 32
2θ 31.63, intensity 77
2θ 32.09, intensity 100
2θ 32.38, intensity 77
2θ 32.62, intensity 62
2θ 34.45, intensity 30
2θ 34.62, intensity 46
2θ 37.18, intensity 28

Atomic structure:
a = 9.6070 Å, b = 9.6070 Å, c = 11.2907 Å
α = 111.42°, β = 111.42°, γ = 38.37°
Atoms (fractional coordinates):
Pm1 0.1370 0.8630 0.7500
Pm2 0.8630 0.1370 0.2500
Y1 0.0000 0.0000 0.0000
Y2 0.0000 0.0000 0.5000
Y3 0.0056 0.6536 0.1310
Y4 0.3464 0.9944 0.3690
Y5 0.6536 0.0056 0.6310
Y6 0.9944 0.3464 0.8690
Tm1 0.1299 0.5320 0.7871
Tm2 0.1493 0.5282 0.4885
Tm3 0.3930 0.6070 0.2500
Tm4 0.4680 0.8701 0.7129
Tm5 0.4718 0.8507 0.0115
Tm6 0.5282 0.1493 0.9885
Tm7 0.5320 0.1299 0.2871
Tm8 0.6070 0.3930 0.7500
Tm9 0.8507 0.4718 0.5115
Tm10 0.8701 0.4680 0.2129

Simulated powder X-ray diffraction pattern
Compound: Rb3In2Bi4Pb2
Radiation: Cu Kα
Structure: a crystal structure in Alexandria, relaxed with GGA-PBE

Top 10 peaks for 2θ = 10–90°, in order of rising 2θ:
2θ 18.38, intensity 23
2θ 19.13, intensity 29
2θ 21.24, intensity 23
2θ 23.63, intensity 36
2θ 26.64, intensity 61
2θ 32.45, intensity 20
2θ 33.45, intensity 100
2θ 33.90, intensity 31
2θ 38.43, intensity 23
2θ 47.29, intensity 42

Atomic structure:
a = 5.3585 Å, b = 5.3585 Å, c = 19.3113 Å
α = 90.00°, β = 90.00°, γ = 120.00°
Atoms (fractional coordinates):
Rb1 0.0000 0.0000 0.0000
Rb2 0.0000 0.0000 0.2775
Rb3 0.0000 0.0000 0.7225
In1 0.3333 0.6667 0.1426
In2 0.6667 0.3333 0.8574
Bi1 0.3333 0.6667 0.3956
Bi2 0.3333 0.6667 0.8606
Bi3 0.6667 0.3333 0.1394
Bi4 0.6667 0.3333 0.6044
Pb1 0.3333 0.6667 0.5587
Pb2 0.6667 0.3333 0.4413

Simulated powder X-ray diffraction pattern
Compound: ZrTl3V2S6
Radiation: Cu Kα
Structure: a crystal structure in Alexandria, relaxed with GGA-PBE

Top 10 peaks for 2θ = 10–90°, in order of rising 2θ:
2θ 11.18, intensity 51
2θ 22.46, intensity 57
2θ 28.92, intensity 100
2θ 31.09, intensity 77
2θ 36.88, intensity 90
2θ 36.98, intensity 73
2θ 51.26, intensity 40
2θ 55.03, intensity 21
2θ 55.19, intensity 26
2θ 56.68, intensity 20

Atomic structure:
a = 6.1736 Å, b = 6.1736 Å, c = 7.9173 Å
α = 90.12°, β = 90.12°, γ = 119.97°
Atoms (fractional coordinates):
Zr1 0.0000 0.0000 0.0000
Tl1 0.0000 0.0000 0.5000
Tl2 0.3336 0.6664 0.5000
Tl3 0.6664 0.3336 0.5000
V1 0.3332 0.6668 0.0000
V2 0.6668 0.3332 0.0000
S1 0.0007 0.6504 0.1773
S2 0.3496 0.9993 0.8227
S3 0.3513 0.3513 0.1771
S4 0.6487 0.6487 0.8229
S5 0.6504 0.0007 0.1773
S6 0.9993 0.3496 0.8227

Simulated powder X-ray diffraction pattern
Compound: La2Ga3Rh
Radiation: Cu Kα
Structure: a crystal structure in Alexandria, relaxed with GGA-PBE

Top 10 peaks for 2θ = 10–90°, in order of rising 2θ:
2θ 31.81, intensity 34
2θ 32.04, intensity 22
2θ 32.79, intensity 100
2θ 33.77, intensity 52
2θ 34.04, intensity 22
2θ 38.86, intensity 19
2θ 39.37, intensity 58
2θ 39.94, intensity 45
2θ 53.45, intensity 14
2θ 65.28, intensity 23

Atomic structure:
a = 5.7441 Å, b = 5.7441 Å, c = 7.4114 Å
α = 127.17°, β = 127.17°, γ = 46.28°
Atoms (fractional coordinates):
La1 0.0000 0.0000 0.0000
La2 0.1042 0.1042 0.6081
Ga1 0.3813 0.3813 0.2136
Ga2 0.7037 0.7037 0.0099
Ga3 0.7252 0.7252 0.4060
Rh1 0.3888 0.3888 0.5976

Simulated powder X-ray diffraction pattern
Compound: Sm4CdHg2Pt
Radiation: Cu Kα
Structure: a crystal structure in Alexandria, relaxed with GGA-PBE

Top 10 peaks for 2θ = 10–90°, in order of rising 2θ:
2θ 31.18, intensity 12
2θ 33.88, intensity 100
2θ 34.00, intensity 82
2θ 46.72, intensity 14
2θ 48.75, intensity 30
2θ 60.66, intensity 50
2θ 64.67, intensity 12
2θ 71.28, intensity 12
2θ 81.37, intensity 14
2θ 84.95, intensity 8

Atomic structure:
a = 9.1251 Å, b = 9.1251 Å, c = 9.1251 Å
α = 33.71°, β = 33.71°, γ = 33.71°
Atoms (fractional coordinates):
Sm1 0.1149 0.1149 0.1149
Sm2 0.3682 0.3682 0.3682
Sm3 0.6318 0.6318 0.6318
Sm4 0.8851 0.8851 0.8851
Cd1 0.5000 0.5000 0.5000
Hg1 0.2387 0.2387 0.2387
Hg2 0.7613 0.7613 0.7613
Pt1 0.0000 0.0000 0.0000

Simulated powder X-ray diffraction pattern
Compound: Ho2Si4CN6
Radiation: Cu Kα
Structure: a crystal structure in Alexandria, relaxed with GGA-PBE

Top 10 peaks for 2θ = 10–90°, in order of rising 2θ:
2θ 17.16, intensity 19
2θ 19.33, intensity 29
2θ 29.87, intensity 21
2θ 30.05, intensity 42
2θ 32.01, intensity 100
2θ 34.97, intensity 18
2θ 35.13, intensity 29
2θ 35.89, intensity 25
2θ 44.39, intensity 16
2θ 54.66, intensity 18

Atomic structure:
a = 5.9391 Å, b = 9.9789 Å, c = 11.9101 Å
α = 90.00°, β = 119.61°, γ = 90.00°
Atoms (fractional coordinates):
Ho1 0.1551 0.0873 0.4170
Ho2 0.1551 0.4127 0.9170
Ho3 0.1717 0.0687 0.9060
Ho4 0.1717 0.4313 0.4060
Ho5 0.8283 0.5687 0.5940
Ho6 0.8283 0.9313 0.0940
Ho7 0.8449 0.5873 0.0830
Ho8 0.8449 0.9127 0.5830
Si1 0.1787 0.2265 0.6587
Si2 0.1787 0.2735 0.1587
Si3 0.2978 0.7049 0.8236
Si4 0.2978 0.7951 0.3236
Si5 0.3353 0.7131 0.5795
Si6 0.3353 0.7869 0.0795
Si7 0.4969 0.5205 0.2508
Si8 0.4969 0.9795 0.7508
Si9 0.5031 0.0205 0.2492
Si10 0.5031 0.4795 0.7492
Si11 0.6647 0.2131 0.9205
Si12 0.6647 0.2869 0.4205
Si13 0.7022 0.2049 0.6764
Si14 0.7022 0.2951 0.1764
Si15 0.8213 0.7265 0.8413
Si16 0.8213 0.7735 0.3413
C1 0.4759 0.7084 0.2476
C2 0.4759 0.7916 0.7476
C3 0.5241 0.2084 0.2524
C4 0.5241 0.2916 0.7524
N1 0.0059 0.2117 0.0004
N2 0.0059 0.2883 0.5004
N3 0.0208 0.2380 0.2462
N4 0.0208 0.2620 0.7462
N5 0.2028 0.0529 0.6364
N6 0.2028 0.4471 0.1364
N7 0.2542 0.5353 0.7760
N8 0.2542 0.9647 0.2760
N9 0.4395 0.5451 0.6000
N10 0.4395 0.9549 0.1000
N11 0.4607 0.7117 0.9908
N12 0.4607 0.7883 0.4908
N13 0.5393 0.2117 0.5092
N14 0.5393 0.2883 0.0092
N15 0.5605 0.0451 0.9000
N16 0.5605 0.4549 0.4000
N17 0.7458 0.0353 0.7240
N18 0.7458 0.4647 0.2240
N19 0.7972 0.5529 0.8636
N20 0.7972 0.9471 0.3636
N21 0.9792 0.7380 0.2538
N22 0.9792 0.7620 0.7538
N23 0.9941 0.7117 0.4996
N24 0.9941 0.7883 0.9996

Simulated powder X-ray diffraction pattern
Compound: Li2Ga4Ag
Radiation: Cu Kα
Structure: a crystal structure in Alexandria, relaxed with GGA-PBE

Top 10 peaks for 2θ = 10–90°, in order of rising 2θ:
2θ 16.67, intensity 29
2θ 19.50, intensity 48
2θ 20.79, intensity 63
2θ 25.76, intensity 21
2θ 31.69, intensity 29
2θ 33.70, intensity 66
2θ 38.61, intensity 100
2θ 39.60, intensity 47
2θ 52.17, intensity 79
2θ 52.95, intensity 35

Atomic structure:
a = 5.9727 Å, b = 5.9727 Å, c = 9.1037 Å
α = 90.00°, β = 90.00°, γ = 54.09°
Atoms (fractional coordinates):
Li1 0.1348 0.1348 0.0000
Li2 0.3652 0.3652 0.5000
Li3 0.6348 0.6348 0.5000
Li4 0.8652 0.8652 0.0000
Ga1 0.0016 0.4984 0.2500
Ga2 0.2495 0.7505 0.7503
Ga3 0.2505 0.7495 0.2503
Ga4 0.4984 0.0016 0.7500
Ga5 0.5016 0.9984 0.2500
Ga6 0.7495 0.2505 0.7497
Ga7 0.7505 0.2495 0.2497
Ga8 0.9984 0.5016 0.7500
Ag1 0.0000 0.0000 0.5000
Ag2 0.5000 0.5000 0.0000

Simulated powder X-ray diffraction pattern
Compound: Sm2PuGa6
Radiation: Cu Kα
Structure: a crystal structure in Alexandria, relaxed with GGA-PBE

Top 10 peaks for 2θ = 10–90°, in order of rising 2θ:
2θ 24.10, intensity 18
2θ 32.33, intensity 100
2θ 42.40, intensity 40
2θ 43.21, intensity 14
2θ 54.31, intensity 23
2θ 62.15, intensity 26
2θ 71.23, intensity 20
2θ 72.38, intensity 10
2θ 77.57, intensity 7
2θ 87.65, intensity 6

Atomic structure:
a = 7.3841 Å, b = 7.3841 Å, c = 4.1872 Å
α = 90.00°, β = 90.00°, γ = 120.00°
Atoms (fractional coordinates):
Sm1 0.3333 0.6667 0.0000
Sm2 0.6667 0.3333 0.0000
Pu1 0.0000 0.0000 0.0000
Ga1 0.0000 0.3331 0.5000
Ga2 0.0000 0.6669 0.5000
Ga3 0.3331 0.0000 0.5000
Ga4 0.3331 0.3331 0.5000
Ga5 0.6669 0.0000 0.5000
Ga6 0.6669 0.6669 0.5000

Simulated powder X-ray diffraction pattern
Compound: ZrBiCl2
Radiation: Cu Kα
Structure: a crystal structure in Alexandria, relaxed with GGA-PBE

Top 10 peaks for 2θ = 10–90°, in order of rising 2θ:
2θ 11.08, intensity 100
2θ 12.73, intensity 90
2θ 26.38, intensity 29
2θ 28.27, intensity 25
2θ 30.33, intensity 31
2θ 31.99, intensity 34
2θ 32.51, intensity 28
2θ 32.99, intensity 24
2θ 37.07, intensity 33
2θ 38.19, intensity 21

Atomic structure:
a = 3.3413 Å, b = 8.3043 Å, c = 9.6315 Å
α = 75.16°, β = 83.58°, γ = 82.69°
Atoms (fractional coordinates):
Zr1 0.2454 0.2720 0.2423
Zr2 0.7546 0.7280 0.7577
Bi1 0.3726 0.4079 0.8914
Bi2 0.6274 0.5921 0.1086
Cl1 0.1723 0.9408 0.8116
Cl2 0.3216 0.7299 0.5515
Cl3 0.6784 0.2701 0.4485
Cl4 0.8277 0.0592 0.1884